# 1
Starting from the PBE geometry in the Materials Project, the powder X-ray diffraction pattern of LiErS2 was simulated for Cu Ka.
Peak positions follow from Bragg's law for the DFT cell and can differ from measured ones.

Atomic structure:
Cell: 3.8750 3.8750 18.4981 Å, 90.00 90.00 120.00°
Space group R-3m (No. 166, hexagonal axes)
Inequivalent atoms, fractional coordinates:
Li (0.0000, 0.0000, 0.0000) [3 per cell]
Er (0.0000, 0.0000, 0.5000) [3 per cell]
S (0.0000, 0.0000, 0.2498) [6 per cell]

Peak list (8 most intense, 2θ from 10° to 90°, by intensity)
2θ = 14.36°, I 1000
2θ = 32.98°, I 904
2θ = 27.00°, I 688
2θ = 46.89°, I 328
2θ = 36.14°, I 320
2θ = 47.77°, I 310
2θ = 49.30°, I 270
2θ = 28.29°, I 247



# 2
Starting from the PBE geometry in the Materials Project, the powder X-ray diffraction pattern of K3DyF6 was simulated for Cu Ka.
Peak positions follow from Bragg's law for the DFT cell and can differ from measured ones.

Atomic structure:
Cell: 7.142 7.142 9.190 Å, 90.00 90.00 90.00°
Space group I4/mmm (No. 139)
Inequivalent atoms, fractional coordinates:
K (0.000, 0.000, 0.000) [2 per cell]
K (0.000, 0.500, 0.250) [4 per cell]
Dy (0.000, 0.000, 0.500) [2 per cell]
F (0.000, 0.000, 0.261) [4 per cell]
F (0.000, 0.305, 0.500) [8 per cell]

Peak list (8 most intense, 2θ from 10° to 90°, by intensity)
2θ = 15.71°, I 1000
2θ = 24.94°, I 887
2θ = 26.22°, I 643
2θ = 44.71°, I 438
2θ = 17.56°, I 303
2θ = 47.03°, I 286
2θ = 31.77°, I 221
2θ = 35.55°, I 209



# 3
Starting from the PBE geometry in the Materials Project, the powder X-ray diffraction pattern of Dy3Ga8Rh3 was simulated for Cu Ka.
Peak positions follow from Bragg's law for the DFT cell and can differ from measured ones.

Atomic structure:
Cell: 4.226 9.894 12.314 Å, 90.00 90.00 90.00°
Space group Immm (No. 71)
Inequivalent atoms, fractional coordinates:
Dy (0.000, 0.000, 0.000) [2 per cell]
Dy (0.000, 0.000, 0.329) [4 per cell]
Ga (0.000, 0.284, 0.124) [8 per cell]
Ga (0.000, 0.371, 0.332) [8 per cell]
Rh (0.000, 0.218, 0.500) [4 per cell]
Rh (0.000, 0.500, 0.000) [2 per cell]

Peak list (8 most intense, 2θ from 10° to 90°, by intensity)
2θ = 35.48°, I 1000
2θ = 42.80°, I 314
2θ = 34.50°, I 257
2θ = 34.90°, I 204
2θ = 46.47°, I 192
2θ = 30.36°, I 181
2θ = 44.13°, I 173
2θ = 73.65°, I 137